Starting from DFT lattice parameters and positions (GGA-PBE), the powder X-ray diffraction pattern of Pr3Sn2Pb5 was simulated for Cu Kα X-rays.

Principal peaks in the range 10° ≤ 2θ ≤ 90°, sorted by position:
| Position (°2θ) | intensity |
| --- | --- |
| 31.57 | 100 |
| 34.03 | 18 |
| 37.44 | 17 |
| 38.25 | 16 |
| 51.48 | 12 |
| 52.12 | 12 |
| 54.60 | 11 |
| 59.37 | 13 |
| 63.89 | 14 |
| 65.00 | 13 |

Atomic structure:
Unit cell a=13.382 b=13.382 c=4.805 alpha=90.00 beta=90.00 gamma=159.75
Sites, in units of the cell vectors:
Pr  0.000  0.000  0.000
Pr  0.189  0.811  0.000
Pr  0.811  0.189  0.000
Sn  0.290  0.710  0.500
Sn  0.710  0.290  0.500
Pb  0.098  0.902  0.500
Pb  0.403  0.597  0.000
Pb  0.500  0.500  0.500
Pb  0.597  0.403  0.000
Pb  0.902  0.098  0.500

Starting from DFT lattice parameters and positions (GGA-PBE), the powder X-ray diffraction pattern of Ag3SnSe4 was simulated for Cu Kα X-rays.

Principal peaks in the range 10° ≤ 2θ ≤ 90°, sorted by position:
| Position (°2θ) | intensity |
| --- | --- |
| 25.58 | 100 |
| 42.38 | 74 |
| 50.12 | 31 |
| 50.23 | 15 |
| 61.43 | 8 |
| 61.61 | 4 |
| 67.71 | 18 |
| 77.48 | 16 |
| 77.61 | 8 |
| 83.17 | 11 |

Atomic structure:
Unit cell a=7.381 b=7.381 c=7.381 alpha=131.72 beta=131.72 gamma=70.67
Sites, in units of the cell vectors:
Ag  0.000  0.000  0.000
Ag  0.250  0.750  0.500
Ag  0.750  0.250  0.500
Sn  0.500  0.500  0.000
Se  0.127  0.127  0.504
Se  0.377  0.873  0.000
Se  0.623  0.623  0.496
Se  0.873  0.377  0.000

Starting from DFT lattice parameters and positions (GGA-PBE), the powder X-ray diffraction pattern of KNaNbOF5 was simulated for Cu Kα X-rays.

Principal peaks in the range 10° ≤ 2θ ≤ 90°, sorted by position:
| Position (°2θ) | intensity |
| --- | --- |
| 16.44 | 40 |
| 19.80 | 94 |
| 20.12 | 80 |
| 22.02 | 67 |
| 27.61 | 70 |
| 28.46 | 60 |
| 29.12 | 100 |
| 44.92 | 53 |
| 46.80 | 37 |
| 54.43 | 31 |

Atomic structure:
Unit cell a=6.273 b=10.544 c=8.073 alpha=90.00 beta=90.00 gamma=90.00
Sites, in units of the cell vectors:
K  0.190  0.250  0.000
K  0.190  0.250  0.500
K  0.810  0.750  0.000
K  0.810  0.750  0.500
Na  0.322  0.562  0.250
Na  0.322  0.938  0.750
Na  0.678  0.062  0.250
Na  0.678  0.438  0.750
Nb  0.263  0.603  0.750
Nb  0.263  0.897  0.250
Nb  0.737  0.103  0.750
Nb  0.737  0.397  0.250
O  0.469  0.161  0.750
O  0.469  0.339  0.250
O  0.531  0.661  0.750
O  0.531  0.839  0.250
F  0.057  0.061  0.750
F  0.057  0.439  0.250
F  0.120  0.730  0.250
F  0.120  0.770  0.750
F  0.245  0.586  0.509
F  0.245  0.586  0.991
F  0.245  0.914  0.009
F  0.245  0.914  0.491
F  0.324  0.084  0.250
F  0.324  0.416  0.750
F  0.676  0.584  0.250
F  0.676  0.916  0.750
F  0.755  0.086  0.509
F  0.755  0.086  0.991
F  0.755  0.414  0.009
F  0.755  0.414  0.491
F  0.880  0.230  0.250
F  0.880  0.270  0.750
F  0.943  0.561  0.750
F  0.943  0.939  0.250

Starting from DFT lattice parameters and positions (GGA-PBE), the powder X-ray diffraction pattern of Cu2CS3 was simulated for Cu Kα X-rays.

Principal peaks in the range 10° ≤ 2θ ≤ 90°, sorted by position:
| Position (°2θ) | intensity |
| --- | --- |
| 17.73 | 12 |
| 22.11 | 13 |
| 27.88 | 50 |
| 31.28 | 100 |
| 34.75 | 11 |
| 48.45 | 30 |
| 48.92 | 16 |
| 52.82 | 23 |
| 53.20 | 11 |
| 61.14 | 16 |

Atomic structure:
Unit cell a=5.978 b=5.978 c=6.740 alpha=99.07 beta=99.07 gamma=119.55
Sites, in units of the cell vectors:
Cu  0.078  0.922  0.500
Cu  0.243  0.742  0.998
Cu  0.742  0.243  0.498
Cu  0.922  0.078  0.000
C  0.379  0.550  0.393
C  0.550  0.379  0.893
S  0.077  0.250  0.363
S  0.250  0.077  0.863
S  0.363  0.827  0.363
S  0.552  0.665  0.904
S  0.665  0.552  0.404
S  0.827  0.363  0.863

Starting from DFT lattice parameters and positions (GGA-PBE), the powder X-ray diffraction pattern of HgAuOF was simulated for Cu Kα X-rays.

Principal peaks in the range 10° ≤ 2θ ≤ 90°, sorted by position:
| Position (°2θ) | intensity |
| --- | --- |
| 29.23 | 70 |
| 30.19 | 53 |
| 32.99 | 100 |
| 33.75 | 62 |
| 36.78 | 19 |
| 42.52 | 54 |
| 45.91 | 37 |
| 51.29 | 29 |
| 59.88 | 20 |
| 62.81 | 34 |

Atomic structure:
Unit cell a=5.312 b=5.920 c=7.471 alpha=90.00 beta=90.00 gamma=90.00
Sites, in units of the cell vectors:
Hg  0.242  0.006  0.169
Hg  0.258  0.994  0.669
Hg  0.742  0.494  0.831
Hg  0.758  0.506  0.331
Au  0.235  0.557  0.545
Au  0.265  0.443  0.045
Au  0.735  0.943  0.455
Au  0.765  0.057  0.955
O  0.182  0.356  0.779
O  0.318  0.644  0.279
O  0.682  0.144  0.221
O  0.818  0.856  0.721
F  0.135  0.209  0.420
F  0.365  0.791  0.920
F  0.635  0.291  0.580
F  0.865  0.709  0.080

Starting from DFT lattice parameters and positions (GGA-PBE), the powder X-ray diffraction pattern of PrHoPt2 was simulated for Cu Kα X-rays.

Principal peaks in the range 10° ≤ 2θ ≤ 90°, sorted by position:
| Position (°2θ) | intensity |
| --- | --- |
| 31.63 | 100 |
| 33.68 | 36 |
| 34.38 | 21 |
| 35.14 | 54 |
| 35.82 | 79 |
| 39.16 | 59 |
| 39.39 | 65 |
| 39.78 | 57 |
| 52.77 | 20 |
| 71.29 | 17 |

Atomic structure:
Unit cell a=5.665 b=4.576 c=7.198 alpha=90.00 beta=91.69 gamma=90.00
Sites, in units of the cell vectors:
Pr  0.142  0.250  0.186
Pr  0.858  0.750  0.814
Ho  0.361  0.250  0.680
Ho  0.639  0.750  0.320
Pt  0.165  0.750  0.464
Pt  0.354  0.750  0.948
Pt  0.646  0.250  0.052
Pt  0.835  0.250  0.536

Starting from DFT lattice parameters and positions (GGA-PBE), the powder X-ray diffraction pattern of LuSiHO4 was simulated for Cu Kα X-rays.

Principal peaks in the range 10° ≤ 2θ ≤ 90°, sorted by position:
| Position (°2θ) | intensity |
| --- | --- |
| 18.78 | 100 |
| 20.03 | 30 |
| 20.47 | 35 |
| 25.52 | 70 |
| 26.81 | 82 |
| 31.46 | 37 |
| 31.75 | 35 |
| 36.20 | 38 |
| 36.98 | 52 |
| 55.31 | 30 |

Atomic structure:
Unit cell a=7.583 b=6.421 c=6.659 alpha=90.00 beta=112.97 gamma=90.00
Sites, in units of the cell vectors:
Lu  0.203  0.141  0.106
Lu  0.203  0.359  0.606
Lu  0.797  0.641  0.394
Lu  0.797  0.859  0.894
Si  0.246  0.604  0.133
Si  0.246  0.896  0.633
Si  0.754  0.104  0.367
Si  0.754  0.396  0.867
H  0.474  0.695  0.888
H  0.474  0.805  0.388
H  0.526  0.195  0.612
H  0.526  0.305  0.112
O  0.105  0.696  0.557
O  0.105  0.804  0.057
O  0.195  0.067  0.782
O  0.195  0.433  0.282
O  0.272  0.040  0.444
O  0.272  0.460  0.944
O  0.468  0.698  0.279
O  0.468  0.802  0.779
O  0.532  0.198  0.221
O  0.532  0.302  0.721
O  0.728  0.540  0.056
O  0.728  0.960  0.556
O  0.805  0.567  0.718
O  0.805  0.933  0.218
O  0.895  0.196  0.943
O  0.895  0.304  0.443

Starting from DFT lattice parameters and positions (GGA-PBE), the powder X-ray diffraction pattern of Li4AlSiAu2 was simulated for Cu Kα X-rays.

Principal peaks in the range 10° ≤ 2θ ≤ 90°, sorted by position:
| Position (°2θ) | intensity |
| --- | --- |
| 25.21 | 100 |
| 29.19 | 40 |
| 41.75 | 60 |
| 49.40 | 50 |
| 51.76 | 11 |
| 66.62 | 21 |
| 68.63 | 10 |
| 76.16 | 7 |
| 76.26 | 14 |
| 81.84 | 12 |

Atomic structure:
Unit cell a=4.323 b=4.323 c=6.128 alpha=90.00 beta=90.00 gamma=90.00
Sites, in units of the cell vectors:
Li  0.000  0.000  0.000
Li  0.000  0.500  0.740
Li  0.500  0.000  0.260
Li  0.500  0.500  0.500
Al  0.500  0.500  0.000
Si  0.000  0.000  0.500
Au  0.000  0.500  0.254
Au  0.500  0.000  0.746

Starting from DFT lattice parameters and positions (GGA-PBE), the powder X-ray diffraction pattern of Dy3Y2Lu2Ni2Te2 was simulated for Cu Kα X-rays.

Principal peaks in the range 10° ≤ 2θ ≤ 90°, sorted by position:
| Position (°2θ) | intensity |
| --- | --- |
| 24.99 | 22 |
| 30.26 | 24 |
| 30.48 | 48 |
| 33.20 | 78 |
| 34.14 | 100 |
| 34.66 | 89 |
| 36.81 | 19 |
| 47.29 | 33 |
| 51.28 | 19 |
| 59.00 | 30 |

Atomic structure:
Unit cell a=9.304 b=9.304 c=9.304 alpha=156.15 beta=66.73 gamma=118.71
Sites, in units of the cell vectors:
Dy  0.000  0.000  0.000
Dy  0.305  0.620  0.685
Dy  0.935  0.620  0.315
Y  0.620  0.267  0.354
Y  0.913  0.267  0.646
Lu  0.282  0.416  0.866
Lu  0.550  0.416  0.134
Ni  0.170  0.929  0.241
Ni  0.688  0.929  0.759
Te  0.268  0.768  0.500
Te  0.658  0.658  0.000

Starting from DFT lattice parameters and positions (GGA-PBE), the powder X-ray diffraction pattern of SrTmPa was simulated for Cu Kα X-rays.

Principal peaks in the range 10° ≤ 2θ ≤ 90°, sorted by position:
| Position (°2θ) | intensity |
| --- | --- |
| 19.75 | 46 |
| 22.85 | 11 |
| 32.53 | 100 |
| 38.35 | 26 |
| 46.67 | 19 |
| 51.15 | 12 |
| 58.05 | 39 |
| 61.94 | 9 |
| 68.14 | 12 |
| 77.56 | 17 |

Atomic structure:
Unit cell a=5.504 b=5.504 c=5.504 alpha=60.00 beta=60.00 gamma=60.00
Sites, in units of the cell vectors:
Sr  0.000  0.000  0.000
Tm  0.750  0.750  0.750
Pa  0.500  0.500  0.500

Starting from DFT lattice parameters and positions (GGA-PBE), the powder X-ray diffraction pattern of La8In3Co2 was simulated for Cu Kα X-rays.

Principal peaks in the range 10° ≤ 2θ ≤ 90°, sorted by position:
| Position (°2θ) | intensity |
| --- | --- |
| 27.54 | 19 |
| 30.16 | 59 |
| 31.33 | 100 |
| 31.43 | 28 |
| 31.72 | 93 |
| 34.96 | 40 |
| 46.83 | 14 |
| 54.36 | 20 |
| 58.68 | 15 |
| 60.39 | 23 |

Atomic structure:
Unit cell a=10.266 b=10.129 c=7.306 alpha=90.00 beta=90.00 gamma=90.00
Sites, in units of the cell vectors:
La  0.000  0.035  0.000
La  0.000  0.041  0.544
La  0.000  0.348  0.272
La  0.000  0.658  0.922
La  0.200  0.546  0.556
La  0.205  0.812  0.288
La  0.295  0.188  0.788
La  0.300  0.454  0.056
La  0.500  0.342  0.422
La  0.500  0.652  0.772
La  0.500  0.959  0.044
La  0.500  0.965  0.500
La  0.700  0.454  0.056
La  0.705  0.188  0.788
La  0.795  0.812  0.288
La  0.800  0.546  0.556
In  0.000  0.334  0.797
In  0.236  0.852  0.770
In  0.264  0.148  0.270
In  0.500  0.666  0.297
In  0.736  0.148  0.270
In  0.764  0.852  0.770
Co  0.000  0.627  0.323
Co  0.000  0.771  0.615
Co  0.500  0.229  0.115
Co  0.500  0.373  0.823

Starting from DFT lattice parameters and positions (GGA-PBE), the powder X-ray diffraction pattern of Pr2B4Ir2Pd3 was simulated for Cu Kα X-rays.

Principal peaks in the range 10° ≤ 2θ ≤ 90°, sorted by position:
| Position (°2θ) | intensity |
| --- | --- |
| 16.68 | 17 |
| 30.11 | 48 |
| 33.74 | 62 |
| 36.21 | 54 |
| 36.86 | 100 |
| 38.66 | 30 |
| 46.28 | 30 |
| 49.53 | 21 |
| 58.48 | 27 |
| 62.40 | 23 |

Atomic structure:
Unit cell a=7.727 b=6.246 c=5.981 alpha=78.36 beta=52.34 gamma=49.29
Sites, in units of the cell vectors:
Pr  0.151  0.151  0.849
Pr  0.849  0.849  0.151
B  0.208  0.516  0.484
B  0.484  0.792  0.208
B  0.516  0.208  0.792
B  0.792  0.484  0.516
Ir  0.250  0.250  0.250
Ir  0.750  0.750  0.750
Pd  0.000  0.000  0.500
Pd  0.500  0.500  0.000
Pd  0.500  0.500  0.500